[1]
For Ga2Te3, a structure optimized by DFT (PBE) gives the computed powder diffractogram in this record (Cu Kα, 1.54184 Å).
Lines closer than 0.1° are merged.

Cell and atoms:
abc: 7.4091 7.4091 14.8607
angles: 97.53 97.53 32.73
Positions (direct):
Ga 0.0000 0.0000 0.0000
Ga 0.5146 0.5146 0.7440
Ga 0.7464 0.7464 0.6330
Ga 0.7652 0.7652 0.1190
Te 0.0840 0.0840 0.8452
Te 0.3120 0.3120 0.2222
Te 0.3202 0.3202 0.7313
Te 0.5653 0.5653 0.5814
Te 0.5692 0.5692 0.1002
Te 0.8166 0.8166 0.9523

Principal peaks in the range 2θ from 10° to 90°, in order of rising 2θ:
Position (°2θ)  I/Imax
12.0  23
25.3  34
25.7  100
41.9  31
42.5  27
50.8  20

---

[2]
For Ba2LiHoRuO6, a structure optimized by DFT (PBE) gives the computed powder diffractogram in this record (Cu Kα, 1.54184 Å).
Lines closer than 0.1° are merged.

Cell and atoms:
abc: 5.8849 5.8849 6.3220
angles: 117.71 117.71 60.04
Positions (direct):
Ba 0.0000 0.0000 0.0000
Ba 0.5408 0.5408 0.6210
Li 0.3790 0.3790 0.1408
Ho 0.7561 0.7561 0.2682
Ru 0.2404 0.2404 0.7205
O 0.0062 0.4874 0.9815
O 0.0110 0.0110 0.5093
O 0.0116 0.4888 0.5099
O 0.4874 0.0062 0.9815
O 0.4873 0.4873 0.9825
O 0.4888 0.0116 0.5099

Principal peaks in the range 2θ from 10° to 90°, in order of rising 2θ:
Position (°2θ)  I/Imax
28.4  91
30.4  100
33.1  20
42.0  51
52.7  33
70.7  15

---

[3]
For Lu2MgS4, a structure optimized by DFT (PBE) gives the computed powder diffractogram in this record (Cu Kα, 1.54184 Å).
Lines closer than 0.1° are merged.

Cell and atoms:
abc: 7.7741 7.7741 7.7741
angles: 60.00 60.00 60.00
Positions (direct):
Lu 0.0000 0.0000 0.0000
Lu 0.0000 0.0000 0.5000
Lu 0.0000 0.5000 0.0000
Lu 0.5000 0.0000 0.0000
Mg 0.3750 0.3750 0.3750
Mg 0.6250 0.6250 0.6250
S 0.2321 0.7560 0.7560
S 0.2440 0.2440 0.2440
S 0.2440 0.2440 0.7679
S 0.2440 0.7679 0.2440
S 0.7560 0.2321 0.7560
S 0.7560 0.7560 0.2321
S 0.7560 0.7560 0.7560
S 0.7679 0.2440 0.2440

Principal peaks in the range 2θ from 10° to 90°, in order of rising 2θ:
Position (°2θ)  I/Imax
14.0  100
26.9  89
28.1  32
32.6  78
42.7  38
46.7  68

---

[4]
For Mn3Si, a structure optimized by DFT (PBE) gives the computed powder diffractogram in this record (Cu Kα, 1.54184 Å).
Lines closer than 0.1° are merged.

Cell and atoms:
abc: 3.9999 3.9999 3.9999
angles: 60.00 60.00 60.00
Positions (direct):
Mn 0.0000 0.0000 0.0000
Mn 0.2500 0.2500 0.2500
Mn 0.7500 0.7500 0.7500
Si 0.5000 0.5000 0.5000

Principal peaks in the range 2θ from 10° to 90°, in order of rising 2θ:
Position (°2θ)  I/Imax
27.3  5
31.6  3
45.3  100
53.7  2
66.1  15
83.8  29